Entry 1:
Simulated powder diffraction line list of Mg14SnMo for Cu Kα (weighted mean of Kα1 and Kα2), from a crystal structure in the Materials Project, relaxed with PBE.

The 12 most intense peaks (10 to 80 degrees two-theta), sorted by position:
2θ = 16.2°, rel. 23.0, (0 0 2)
2θ = 17.4°, rel. 18.7, (2 0 0)
2θ = 18.4°, rel. 33.4, (1 0 2)
2θ = 23.8°, rel. 17.0, (2 0 2)
2θ = 33.2°, rel. 29.7, (0 2 2)
2θ = 35.2°, rel. 39.6, (4 0 0)
2θ = 37.3°, rel. 52.7, (2 0 4)
2θ = 37.7°, rel. 100.0, (2 2 2)
2θ = 49.1°, rel. 19.3, (4 2 2)
2θ = 58.7°, rel. 17.3, (0 2 6)
2θ = 64.8°, rel. 19.4, (6 2 2)
2θ = 70.3°, rel. 21.5, (4 2 6)

Cell and atoms:
Cell lengths 10.2047, 6.2080, 10.9420 Å; angles 90.00, 90.00, 90.00 degrees
Space group Amm2 (No. 38)
One atom of each set of equivalent atoms:
Mg1 0.0000 0.0000 0.0000
Mg2 0.0000 0.0000 0.4995
Mg3 0.0000 0.2492 0.2499
Mg4 0.2468 0.0000 0.6667
Mg5 0.2551 0.0000 0.1615
Mg6 0.2554 0.2432 0.9178
Mg7 0.5000 0.2493 0.2491
Sn1 0.5000 0.0000 0.5015
Mo1 0.5000 0.0000 0.0003

***

Entry 2:
Simulated powder diffraction line list of Bi3Au for Cu Kα (weighted mean of Kα1 and Kα2), from a crystal structure in the Materials Project, relaxed with PBE.

The 12 most intense peaks (10 to 80 degrees two-theta), sorted by position:
2θ = 27.0°, rel. 100.0, (1 0 0)
2θ = 30.5°, rel. 33.4, (0 0 4)
2θ = 38.6°, rel. 40.0, (1 1 0)
2θ = 41.2°, rel. 60.4, (1 0 4)
2θ = 49.9°, rel. 35.0, (1 1 4)
2θ = 55.7°, rel. 14.1, (2 0 0)
2θ = 63.0°, rel. 19.6, (2 1 0)
2θ = 63.4°, rel. 3.2, (0 0 8)
2θ = 64.8°, rel. 16.3, (2 0 4)
2θ = 70.2°, rel. 9.4, (1 0 8)
2θ = 71.6°, rel. 24.7, (2 1 4)
2θ = 76.8°, rel. 7.5, (1 1 8)

Cell and atoms:
Cell lengths 3.3009, 3.3009, 11.7304 Å; angles 90.00, 90.00, 90.00 degrees
Space group P4/mmm (No. 123)
One atom of each set of equivalent atoms:
Bi1 0.0000 0.0000 0.0000
Bi2 0.0000 0.0000 0.2679
Au1 0.0000 0.0000 0.5000

***

Entry 3:
Simulated powder diffraction line list of RbO2F for Cu Kα (weighted mean of Kα1 and Kα2), from a crystal structure in the Materials Project, relaxed with PBE.

The 12 most intense peaks (10 to 80 degrees two-theta), sorted by position:
2θ = 20.6°, rel. 73.6, (2 2 0)
2θ = 21.7°, rel. 19.7, (1 0 1)
2θ = 22.9°, rel. 41.9, (1 1 1)
2θ = 29.2°, rel. 35.4, (2 2 1)
2θ = 29.3°, rel. 88.3, (4 0 0)
2θ = 31.0°, rel. 100.0, (3 1 1)
2θ = 33.6°, rel. 47.0, (3 2 1)
2θ = 37.6°, rel. 24.1, (3 3 1)
2θ = 42.0°, rel. 42.0, (4 4 0)
2θ = 42.6°, rel. 21.2, (5 0 1)
2θ = 43.2°, rel. 32.5, (5 1 1)
2θ = 47.2°, rel. 18.7, (6 2 0)

Cell and atoms:
Cell lengths 12.1733, 12.1733, 4.3431 Å; angles 90.00, 90.00, 90.00 degrees
Space group P-42_1m (No. 113)
One atom of each set of equivalent atoms:
Rb1 0.0000 0.0000 0.0000
Rb2 0.0000 0.5000 0.2589
Rb3 0.2338 0.7338 0.2492
O1 0.0021 0.2151 0.6684
O2 0.0074 0.2051 0.3819
F1 0.1203 0.6203 0.7730
F2 0.1692 0.3308 0.2370

***

Entry 4:
Simulated powder diffraction line list of Zr3TiO8 for Cu Kα (weighted mean of Kα1 and Kα2), from a crystal structure in the Materials Project, relaxed with PBE.

The 12 most intense peaks (10 to 80 degrees two-theta), sorted by position:
2θ = 19.3°, rel. 5.6, (1 0 1)
2θ = 29.9°, rel. 100.0, (1 1 2)
2θ = 33.7°, rel. 9.6, (0 0 4)
2θ = 35.2°, rel. 12.8, (2 0 0)
2θ = 40.5°, rel. 2.9, (2 1 1)
2θ = 42.3°, rel. 3.8, (1 1 4)
2θ = 49.6°, rel. 34.9, (2 0 4)
2θ = 50.6°, rel. 18.5, (2 2 0)
2θ = 58.0°, rel. 14.6, (1 1 6)
2θ = 59.9°, rel. 26.4, (3 1 2)
2θ = 62.2°, rel. 7.9, (2 2 4)
2θ = 74.4°, rel. 4.7, (4 0 0)

Cell and atoms:
Cell lengths 5.0998, 5.0998, 10.6257 Å; angles 90.00, 90.00, 90.00 degrees
Space group I-42m (No. 121)
One atom of each set of equivalent atoms:
Zr1 0.0000 0.0000 0.0000
Zr2 0.0000 0.5000 0.2500
Ti1 0.0000 0.0000 0.5000
O1 0.2081 0.2081 0.1578
O2 0.2228 0.2228 0.4100